Entry 1:
# ZrV9Ge6
Simulated XRD peak list, CuKα. Input: a crystal structure in Alexandria, relaxed with GGA-PBE.
Intensities are scaled so that the largest is 100.

Most intense lines, 2θ from 15° to 90°, low angle first:
(hkl)  2θ (°)  d_spacing  I (rel.)
2 1 1  27.4  3.255  14
3 2 1  38.1  2.362  19
3 3 0  39.4  2.289  14
2 0 2  41.2  2.193  63
4 2 0  41.6  2.172  56
4 1 1  42.6  2.124  100
2 2 2  45.4  1.999  33
5 2 1  54.2  1.693  13
4 1 3  69.9  1.345  20
6 4 2  81.5  1.181  16

Structure:
```
data_ZrV9Ge6
_chemical_formula_sum 'Zr2 V18 Ge12'
_cell_length_a 9.711
_cell_length_b 9.711
_cell_length_c 4.916
_cell_angle_alpha 90.00
_cell_angle_beta 90.00
_cell_angle_gamma 90.00
_space_group_name_H-M_alt 'I -4 2 m'
_space_group_IT_number 121
_space_group_name_Hall 'I -4 2'
loop_
_atom_site_label
_atom_site_type_symbol
_atom_site_fract_x
_atom_site_fract_y
_atom_site_fract_z
Zr1 Zr 0.000 0.000 0.000
V1 V 0.000 0.000 0.500
V2 V 0.072 0.276 0.754
Ge1 Ge 0.000 0.500 0.000
Ge2 Ge 0.172 0.172 0.269
```

=====

Entry 2:
# Th2AlGe
Simulated XRD peak list, CuKα. Input: a crystal structure in Alexandria, relaxed with GGA-PBE.
Intensities are scaled so that the largest is 100.

Most intense lines, 2θ from 15° to 90°, low angle first:
(hkl)  2θ (°)  d_spacing  I (rel.)
1 0 1  21.3  4.180  27
1 1 -1  26.8  3.321  55
0 1 2  30.5  2.932  100
2 0 0  31.0  2.882  53
2 0 -2  31.8  2.814  28
2 1 0  38.1  2.360  33
1 0 3  40.1  2.251  24
2 1 2  48.9  1.863  23
2 1 -4  50.5  1.808  21
2 2 0  54.8  1.674  22

Structure:
```
data_Th2AlGe
_chemical_formula_sum 'Th4 Al2 Ge2'
_cell_length_a 6.061
_cell_length_b 4.113
_cell_length_c 8.791
_cell_angle_alpha 90.00
_cell_angle_beta 108.02
_cell_angle_gamma 90.00
_space_group_name_H-M_alt 'P 1 21/m 1'
_space_group_IT_number 11
loop_
_space_group_symop_operation_xyz
'x,y,z'
'-x,-y,-z'
'-x,y+1/2,-z'
'x,-y+1/2,z'
loop_
_atom_site_label
_atom_site_type_symbol
_atom_site_fract_x
_atom_site_fract_y
_atom_site_fract_z
Th1 Th 0.208 0.250 0.426
Th2 Th 0.284 0.750 0.068
Al1 Al 0.365 0.750 0.713
Ge1 Ge 0.139 0.250 0.788
```